[1]
Simulated X-ray powder pattern
Compound: Mg3Al8FeSi10O36
Radiation: Cu Kα
Structure: a PBE+U-relaxed structure

Top 10 peaks for 15° ≤ 2θ ≤ 90°, low angle first:
2θ 21.51, rel. 100, (1 1 -2)
2θ 26.03, rel. 70, (1 3 -2)
2θ 26.16, rel. 43, (2 0 -2)
2θ 27.99, rel. 25, (0 4 2)
2θ 28.15, rel. 71, (2 2 2)
2θ 28.93, rel. 50, (1 5 1)
2θ 29.05, rel. 42, (2 4 1)
2θ 29.24, rel. 49, (3 1 -1)
2θ 33.40, rel. 29, (1 5 2)
2θ 53.53, rel. 38, (2 6 -4)

Cell and atoms:
Cell: 9.858 17.312 9.426 Å, 90.00 90.09 90.00°
Space group C2 (No. 5)
Inequivalent atoms, fractional coordinates:
Mg  0.000  0.000  0.000 x2
Mg  0.000  0.000  0.500 x2
Mg  0.000  0.325  0.000 x2
Al  0.192  0.112  0.249 x4
Al  0.193  0.213  0.751 x4
Al  0.248  0.913  0.500 x4
Al  0.249  0.413  0.000 x4
Fe  0.000  0.326  0.500 x2
Si  0.000  0.161  0.500 x2
Si  0.000  0.163  0.000 x2
Si  0.079  0.472  0.751 x4
Si  0.079  0.855  0.249 x4
Si  0.235  0.798  0.751 x4
Si  0.237  0.527  0.250 x4
O  0.077  0.825  0.755 x4
O  0.079  0.498  0.251 x4
O  0.083  0.099  0.400 x4
O  0.083  0.225  0.901 x4
O  0.084  0.100  0.099 x4
O  0.086  0.223  0.598 x4
O  0.101  0.910  0.391 x4
O  0.103  0.416  0.891 x4
O  0.104  0.910  0.108 x4
O  0.105  0.418  0.607 x4
O  0.184  0.542  0.753 x4
O  0.187  0.785  0.250 x4
O  0.189  0.990  0.608 x4
O  0.190  0.336  0.108 x4
O  0.190  0.989  0.892 x4
O  0.197  0.336  0.392 x4
O  0.247  0.619  0.248 x4
O  0.250  0.206  0.250 x4



[2]
Simulated X-ray powder pattern
Compound: Tb4MgAl2Fe2O12
Radiation: Cu Kα
Structure: a PBE+U-relaxed structure

Top 10 peaks for 15° ≤ 2θ ≤ 90°, low angle first:
2θ 15.20, rel. 38, (0 1 0)
2θ 19.00, rel. 82, (1 0 1)
2θ 26.02, rel. 44, (-1 1 1)
2θ 28.92, rel. 54, (1 1 2)
2θ 30.68, rel. 39, (0 2 0)
2θ 31.98, rel. 98, (1 -1 2)
2θ 32.40, rel. 43, (-1 1 2)
2θ 32.58, rel. 100, (1 1 -2)
2θ 33.40, rel. 68, (2 0 0)
2θ 34.37, rel. 42, (1 2 1)

Cell and atoms:
Cell: 5.406 5.868 8.234 Å, 85.43 84.78 84.84°
Space group P1 (No. 1)
Inequivalent atoms, fractional coordinates:
Tb  0.000  0.000  0.000 x1
Tb  0.029  0.144  0.566 x1
Tb  0.436  0.633  0.531 x1
Tb  0.559  0.140  0.317 x1
Mg  0.511  0.388  0.929 x1
Al  0.531  0.977  0.783 x1
Al  0.970  0.511  0.242 x1
Fe  0.017  0.560  0.833 x1
Fe  0.471  0.745  0.131 x1
O  0.193  0.596  0.055 x1
O  0.222  0.870  0.746 x1
O  0.240  0.407  0.364 x1
O  0.249  0.905  0.372 x1
O  0.281  0.361  0.723 x1
O  0.398  0.069  0.008 x1
O  0.656  0.955  0.563 x1
O  0.675  0.701  0.874 x1
O  0.763  0.410  0.431 x1
O  0.775  0.182  0.803 x1
O  0.787  0.798  0.216 x1
O  0.817  0.316  0.120 x1



[3]
Simulated X-ray powder pattern
Compound: Tb4MgAl2Fe2O12
Radiation: Cu Kα
Structure: a PBE+U-relaxed structure

Top 10 peaks for 15° ≤ 2θ ≤ 90°, low angle first:
2θ 21.62, rel. 79, (0 0 2)
2θ 22.63, rel. 45, (1 1 0)
2θ 25.24, rel. 41, (1 -1 1)
2θ 30.89, rel. 83, (-1 1 2)
2θ 31.94, rel. 61, (0 2 -1)
2θ 33.01, rel. 100, (1 1 2)
2θ 33.57, rel. 45, (2 0 0)
2θ 40.58, rel. 40, (1 -1 3)
2θ 44.09, rel. 41, (0 2 -3)
2θ 46.49, rel. 48, (2 2 -1)

Cell and atoms:
Cell: 5.358 5.861 8.261 Å, 92.84 94.86 90.21°
Space group P1 (No. 1)
Inequivalent atoms, fractional coordinates:
Tb  0.000  0.000  0.000 x1
Tb  0.066  0.777  0.523 x1
Tb  0.490  0.279  0.557 x1
Tb  0.579  0.459  0.995 x1
Mg  0.137  0.588  0.170 x1
Al  0.018  0.414  0.777 x1
Al  0.564  0.927  0.246 x1
Fe  0.520  0.867  0.786 x1
Fe  0.980  0.240  0.369 x1
O  0.161  0.355  0.992 x1
O  0.235  0.056  0.706 x1
O  0.253  0.005  0.335 x1
O  0.271  0.497  0.377 x1
O  0.318  0.551  0.732 x1
O  0.363  0.805  0.059 x1
O  0.718  0.178  0.165 x1
O  0.719  0.973  0.456 x1
O  0.749  0.206  0.815 x1
O  0.808  0.716  0.182 x1
O  0.838  0.688  0.840 x1
O  0.877  0.433  0.562 x1



[4]
Simulated X-ray powder pattern
Compound: Tb4MgAl2Fe2O12
Radiation: Cu Kα
Structure: a PBE+U-relaxed structure

Top 10 peaks for 15° ≤ 2θ ≤ 90°, low angle first:
2θ 21.38, rel. 56, (0 0 2)
2θ 22.17, rel. 26, (1 -1 0)
2θ 24.06, rel. 49, (1 1 -1)
2θ 24.63, rel. 48, (1 -1 1)
2θ 31.01, rel. 100, (-1 1 2)
2θ 31.80, rel. 43, (0 2 -1)
2θ 32.99, rel. 93, (1 1 2)
2θ 33.44, rel. 27, (0 2 1)
2θ 37.77, rel. 35, (1 1 -3)
2θ 39.49, rel. 30, (1 -1 3)

Cell and atoms:
Cell: 5.439 5.833 8.356 Å, 94.41 93.90 90.94°
Space group P1 (No. 1)
Inequivalent atoms, fractional coordinates:
Tb  0.000  0.000  0.000 x1
Tb  0.044  0.778  0.550 x1
Tb  0.469  0.290  0.559 x1
Tb  0.587  0.489  0.985 x1
Mg  0.135  0.589  0.164 x1
Al  0.552  0.880  0.733 x1
Al  0.989  0.272  0.362 x1
Fe  0.034  0.379  0.773 x1
Fe  0.550  0.917  0.272 x1
O  0.190  0.039  0.383 x1
O  0.192  0.349  0.998 x1
O  0.225  0.499  0.375 x1
O  0.257  0.043  0.717 x1
O  0.346  0.810  0.069 x1
O  0.358  0.596  0.719 x1
O  0.649  0.911  0.521 x1
O  0.708  0.173  0.821 x1
O  0.774  0.228  0.194 x1
O  0.819  0.721  0.814 x1
O  0.825  0.734  0.157 x1
O  0.864  0.390  0.542 x1